Calculated PXRD pattern
Compound: MnAlAsO6
Radiation: Cu Kα (weighted mean of Kα1 and Kα2)
Structure: a structure optimized by DFT (GGA+U)

Top 10 peaks for 2θ = 10–80°, in order of rising 2θ:
2θ (°), d_spacing, I/Imax
20.95, 4.240, 11
23.81, 3.737, 30
30.08, 2.971, 100
37.41, 2.404, 29
38.50, 2.339, 8
43.27, 2.091, 26
48.73, 1.869, 24
58.01, 1.590, 50
63.01, 1.475, 22
67.49, 1.388, 21

Structure:
Unit cell a=4.808 b=4.808 c=8.480 alpha=90.00 beta=90.00 gamma=120.00
Element x y z (fractional)
Mn 0.000 0.000 0.000
Mn 0.000 0.000 0.500
Al 0.333 0.667 0.250
Al 0.667 0.333 0.750
As 0.333 0.667 0.750
As 0.667 0.333 0.250
O 0.006 0.348 0.630
O 0.006 0.658 0.870
O 0.342 0.348 0.870
O 0.342 0.994 0.630
O 0.348 0.006 0.130
O 0.348 0.342 0.370
O 0.652 0.658 0.630
O 0.652 0.994 0.870
O 0.658 0.006 0.370
O 0.658 0.652 0.130
O 0.994 0.342 0.130
O 0.994 0.652 0.370